This entry pairs a crystal structure of Ba3MnZn2O6 with its theoretical powder diffraction line list. Radiation: Cu Kα X-rays. Structure: a DFT-relaxed cell (GGA+U, Alexandria).
Neutral-atom scattering factors, no anomalous dispersion.

Largest 6 diffraction maxima, low angle first, 2θ from 5° to 70°:
4.181 Å, 21.3°, rel. 25; 3.043 Å, 29.3°, rel. 100; 2.876 Å, 31.1°, rel. 77; 2.090 Å, 43.3°, rel. 46; 1.757 Å, 52.0°, rel. 20; 1.723 Å, 53.2°, rel. 34

Structure:
```
data_Ba3MnZn2O6
_cell_length_a 6.0869
_cell_length_b 6.0869
_cell_length_c 6.8639
_cell_angle_alpha 90.00
_cell_angle_beta 90.00
_cell_angle_gamma 120.00
_symmetry_space_group_name_H-M 'P 1'
_symmetry_Int_Tables_number 1
loop_
_symmetry_equiv_pos_as_xyz
'x,y,z'
loop_
_atom_site_label
_atom_site_type_symbol
_atom_site_fract_x
_atom_site_fract_y
_atom_site_fract_z
_atom_site_occupancy
Ba1 Ba 0.0000 0.0000 0.0000 1
Ba2 Ba 0.3333 0.6667 0.6490 1
Ba3 Ba 0.6667 0.3333 0.3510 1
Mn1 Mn 0.0000 0.0000 0.5000 1
Zn1 Zn 0.3333 0.6667 0.2138 1
Zn2 Zn 0.6667 0.3333 0.7862 1
O1 O 0.1631 0.3263 0.3037 1
O2 O 0.1631 0.8369 0.3037 1
O3 O 0.3263 0.1631 0.6963 1
O4 O 0.6737 0.8369 0.3037 1
O5 O 0.8369 0.1631 0.6963 1
O6 O 0.8369 0.6737 0.6963 1
```